[1]
ZnBAsH: computed XRD peak list (Cu Ka), based on the PBE geometry in Alexandria.
Kinematic intensities with the Lorentz-polarization factor, no thermal factor.

```
data_ZnBAsH
_chemical_formula_sum 'Zn1 B1 As1 H1'
_cell_length_a 3.4324
_cell_length_b 4.2787
_cell_length_c 4.6977
_cell_angle_alpha 64.51
_cell_angle_beta 76.91
_cell_angle_gamma 88.84
_space_group_name_H-M_alt 'P 1'
_space_group_IT_number 1
loop_
_space_group_symop_operation_xyz
'x,y,z'
loop_
_atom_site_label
_atom_site_fract_x
_atom_site_fract_y
_atom_site_fract_z
Zn1 0.0000 0.0000 0.0000
B1 0.2772 0.0861 0.5046
As1 0.8275 0.3526 0.3108
H1 0.2733 0.7791 0.5709
```

Largest 10 diffraction maxima, most intense first, 15° ≤ 2θ ≤ 90°:
- 26.77 deg, I = 100.0
- 30.18 deg, I = 89.8
- 21.60 deg, I = 69.9
- 39.62 deg, I = 57.8
- 23.12 deg, I = 53.0
- 38.39 deg, I = 51.9
- 23.77 deg, I = 49.8
- 37.23 deg, I = 45.5
- 42.28 deg, I = 42.3
- 38.52 deg, I = 39.9

[2]
ZnBAsH: computed XRD peak list (Cu Ka), based on the PBE geometry in Alexandria.
Kinematic intensities with the Lorentz-polarization factor, no thermal factor.

```
data_ZnBAsH
_chemical_formula_sum 'Zn1 B1 As1 H1'
_cell_length_a 4.2548
_cell_length_b 3.3178
_cell_length_c 4.4627
_cell_angle_alpha 90.00
_cell_angle_beta 115.86
_cell_angle_gamma 90.00
_space_group_name_H-M_alt 'P 1 m 1'
_space_group_IT_number 6
loop_
_space_group_symop_operation_xyz
'x,y,z'
'x,-y,z'
loop_
_atom_site_label
_atom_site_fract_x
_atom_site_fract_y
_atom_site_fract_z
Zn1 0.0000 0.0000 0.0000
B1 0.6629 0.5000 0.6019
As1 0.6596 0.0000 0.3353
H1 0.4424 0.5000 0.7052
```

Largest 10 diffraction maxima, most intense first, 15° ≤ 2θ ≤ 90°:
- 26.87 deg, I = 100.0
- 49.39 deg, I = 49.8
- 24.13 deg, I = 48.6
- 47.95 deg, I = 46.7
- 23.23 deg, I = 44.0
- 38.94 deg, I = 43.0
- 51.04 deg, I = 38.6
- 35.08 deg, I = 35.2
- 40.63 deg, I = 34.9
- 22.14 deg, I = 34.2

[3]
LiBAs2O6: computed XRD peak list (Cu Ka), based on the PBE geometry in Alexandria.
Kinematic intensities with the Lorentz-polarization factor, no thermal factor.

```
data_LiBAs2O6
_chemical_formula_sum 'Li4 B4 As8 O24'
_cell_length_a 10.3074
_cell_length_b 12.1263
_cell_length_c 5.1876
_cell_angle_alpha 90.00
_cell_angle_beta 119.58
_cell_angle_gamma 90.00
_space_group_name_H-M_alt 'C 1 2/c 1'
_space_group_IT_number 15
loop_
_space_group_symop_operation_xyz
'x,y,z'
'-x,-y,-z'
'-x,y,-z+1/2'
'x,-y,z+1/2'
'x+1/2,y+1/2,z'
'-x+1/2,-y+1/2,-z'
'-x+1/2,y+1/2,-z+1/2'
'x+1/2,-y+1/2,z+1/2'
loop_
_atom_site_label
_atom_site_fract_x
_atom_site_fract_y
_atom_site_fract_z
Li1 0.0000 0.2269 0.2500
B1 0.0000 0.2209 0.7500
As1 0.2271 0.4031 0.8313
O1 0.0848 0.1532 0.0220
O2 0.0942 0.2844 0.6619
O3 0.2044 0.4546 0.4912
```

Largest 10 diffraction maxima, most intense first, 15° ≤ 2θ ≤ 90°:
- 24.73 deg, I = 100.0
- 24.60 deg, I = 63.2
- 19.81 deg, I = 47.0
- 18.60 deg, I = 34.9
- 35.74 deg, I = 18.5
- 36.72 deg, I = 17.5
- 36.94 deg, I = 12.8
- 49.90 deg, I = 11.8
- 30.82 deg, I = 11.7
- 49.47 deg, I = 10.5

[4]
Li2B2AsO6: computed XRD peak list (Cu Ka), based on the PBE geometry in Alexandria.
Kinematic intensities with the Lorentz-polarization factor, no thermal factor.

```
data_Li2B2AsO6
_chemical_formula_sum 'Li2 B2 As1 O6'
_cell_length_a 4.8257
_cell_length_b 4.8257
_cell_length_c 5.9446
_cell_angle_alpha 90.00
_cell_angle_beta 90.00
_cell_angle_gamma 120.00
_space_group_name_H-M_alt 'P -3'
_space_group_IT_number 147
loop_
_space_group_symop_operation_xyz
'x,y,z'
'-x,-y,-z'
'-y,x-y,z'
'y,-x+y,-z'
'-x+y,-x,z'
'x-y,x,-z'
loop_
_atom_site_label
_atom_site_fract_x
_atom_site_fract_y
_atom_site_fract_z
Li1 0.3333 0.6667 0.2977
B1 0.3333 0.6667 0.8056
As1 0.0000 0.0000 0.0000
O1 0.0628 0.6976 0.7971
```

Largest 10 diffraction maxima, most intense first, 15° ≤ 2θ ≤ 90°:
- 26.06 deg, I = 100.0
- 37.12 deg, I = 52.8
- 21.26 deg, I = 47.0
- 40.34 deg, I = 46.1
- 48.60 deg, I = 27.4
- 67.15 deg, I = 27.2
- 46.04 deg, I = 21.1
- 60.66 deg, I = 18.5
- 53.61 deg, I = 17.7
- 60.46 deg, I = 17.1

[5]
B6AsN6: computed XRD peak list (Cu Ka), based on the PBE geometry in Alexandria.
Kinematic intensities with the Lorentz-polarization factor, no thermal factor.

```
data_B6AsN6
_chemical_formula_sum 'B6 As1 N6'
_cell_length_a 4.6132
_cell_length_b 4.6132
_cell_length_c 4.6132
_cell_angle_alpha 90.00
_cell_angle_beta 90.00
_cell_angle_gamma 90.00
_space_group_name_H-M_alt 'P m -3'
_space_group_IT_number 200
_space_group_name_Hall '-P 2 2 3'
loop_
_atom_site_label
_atom_site_fract_x
_atom_site_fract_y
_atom_site_fract_z
B1 0.0000 0.2445 0.5000
As1 0.0000 0.0000 0.0000
N1 0.0000 0.5000 0.2547
```

Largest 10 diffraction maxima, most intense first, 15° ≤ 2θ ≤ 90°:
- 19.24 deg, I = 100.0
- 48.33 deg, I = 76.3
- 43.89 deg, I = 49.0
- 39.05 deg, I = 38.0
- 77.41 deg, I = 33.8
- 33.65 deg, I = 33.1
- 60.18 deg, I = 22.2
- 87.11 deg, I = 12.8
- 27.34 deg, I = 12.8
- 67.32 deg, I = 12.6

[6]
Na5B2As5: computed XRD peak list (Cu Ka), based on the PBE geometry in Alexandria.
Kinematic intensities with the Lorentz-polarization factor, no thermal factor.

```
data_Na5B2As5
_chemical_formula_sum 'Na10 B4 As10'
_cell_length_a 14.8730
_cell_length_b 3.3347
_cell_length_c 10.6716
_cell_angle_alpha 90.00
_cell_angle_beta 112.53
_cell_angle_gamma 90.00
_space_group_name_H-M_alt 'C 1 2/m 1'
_space_group_IT_number 12
loop_
_space_group_symop_operation_xyz
'x,y,z'
'-x,-y,-z'
'-x,y,-z'
'x,-y,z'
'x+1/2,y+1/2,z'
'-x+1/2,-y+1/2,-z'
'-x+1/2,y+1/2,-z'
'x+1/2,-y+1/2,z'
loop_
_atom_site_label
_atom_site_fract_x
_atom_site_fract_y
_atom_site_fract_z
Na1 0.0000 0.0000 0.0000
Na2 0.1718 0.0000 0.5689
Na3 0.2216 0.5000 0.1154
B1 0.0551 0.5000 0.2659
As1 0.0000 0.5000 0.5000
As2 0.0916 0.5000 0.8025
As3 0.1383 0.0000 0.2810
```

Largest 10 diffraction maxima, most intense first, 15° ≤ 2θ ≤ 90°:
- 32.39 deg, I = 100.0
- 40.84 deg, I = 63.4
- 33.60 deg, I = 48.5
- 37.20 deg, I = 33.4
- 36.41 deg, I = 27.0
- 18.00 deg, I = 24.0
- 33.24 deg, I = 18.3
- 28.20 deg, I = 17.8
- 25.30 deg, I = 17.3
- 43.84 deg, I = 16.5

[7]
NaB2AsO6: computed XRD peak list (Cu Ka), based on the PBE geometry in Alexandria.
Kinematic intensities with the Lorentz-polarization factor, no thermal factor.

```
data_NaB2AsO6
_chemical_formula_sum 'Na4 B8 As4 O24'
_cell_length_a 9.0358
_cell_length_b 8.8385
_cell_length_c 5.1011
_cell_angle_alpha 90.00
_cell_angle_beta 110.29
_cell_angle_gamma 90.00
_space_group_name_H-M_alt 'C 1 2/c 1'
_space_group_IT_number 15
loop_
_space_group_symop_operation_xyz
'x,y,z'
'-x,-y,-z'
'-x,y,-z+1/2'
'x,-y,z+1/2'
'x+1/2,y+1/2,z'
'-x+1/2,-y+1/2,-z'
'-x+1/2,y+1/2,-z+1/2'
'x+1/2,-y+1/2,z+1/2'
loop_
_atom_site_label
_atom_site_fract_x
_atom_site_fract_y
_atom_site_fract_z
Na1 0.0000 0.0933 0.2500
B1 0.2072 0.4229 0.1437
As1 0.0000 0.2739 0.7500
O1 0.0919 0.3019 0.1079
O2 0.1309 0.1263 0.7030
O3 0.1739 0.4531 0.8207
```

Largest 10 diffraction maxima, most intense first, 15° ≤ 2θ ≤ 90°:
- 20.50 deg, I = 100.0
- 29.20 deg, I = 61.0
- 43.68 deg, I = 45.7
- 20.96 deg, I = 40.1
- 30.49 deg, I = 33.1
- 37.60 deg, I = 32.4
- 20.09 deg, I = 20.9
- 26.36 deg, I = 16.8
- 32.34 deg, I = 16.5
- 63.88 deg, I = 14.3

What is the formula in the sixth record? Na5B2As5

Copy entry 2 word for word.
ZnBAsH: computed XRD peak list (Cu Ka), based on the PBE geometry in Alexandria.
Kinematic intensities with the Lorentz-polarization factor, no thermal factor.

```
data_ZnBAsH
_chemical_formula_sum 'Zn1 B1 As1 H1'
_cell_length_a 4.2548
_cell_length_b 3.3178
_cell_length_c 4.4627
_cell_angle_alpha 90.00
_cell_angle_beta 115.86
_cell_angle_gamma 90.00
_space_group_name_H-M_alt 'P 1 m 1'
_space_group_IT_number 6
loop_
_space_group_symop_operation_xyz
'x,y,z'
'x,-y,z'
loop_
_atom_site_label
_atom_site_fract_x
_atom_site_fract_y
_atom_site_fract_z
Zn1 0.0000 0.0000 0.0000
B1 0.6629 0.5000 0.6019
As1 0.6596 0.0000 0.3353
H1 0.4424 0.5000 0.7052
```

Largest 10 diffraction maxima, most intense first, 15° ≤ 2θ ≤ 90°:
- 26.87 deg, I = 100.0
- 49.39 deg, I = 49.8
- 24.13 deg, I = 48.6
- 47.95 deg, I = 46.7
- 23.23 deg, I = 44.0
- 38.94 deg, I = 43.0
- 51.04 deg, I = 38.6
- 35.08 deg, I = 35.2
- 40.63 deg, I = 34.9
- 22.14 deg, I = 34.2